# Rb2MnIrO4
Calculated powder diffraction line list, Cu Kα, 1.54184 Å. Input: a PBE+U-relaxed structure.
Lines closer than 0.1° are merged.

Top 10 peaks for 2θ = 10–90°, by angle:
2θ (°), d (Å), I/Imax
15.47, 5.729, 70
17.37, 5.106, 60
21.20, 4.190, 100
25.74, 3.461, 48
28.03, 3.183, 53
29.24, 3.054, 98
33.71, 2.658, 54
41.06, 2.198, 25
49.10, 1.856, 49
50.68, 1.801, 34

```
Rb2MnIrO4
1.0
0.0000 6.9213 10.2112
2.8793 0.0000 10.2112
2.8793 6.9213 0.0000
Rb Mn Ir O
4 2 2 8
Cartesian
2.1595 5.1910 0.9908
3.5991 8.6516 6.0964
2.1595 5.1910 14.3259
3.5991 8.6516 19.4315
0.7198 1.7303 2.5528
5.0388 12.1122 17.8695
2.1595 5.1910 7.6584
3.5991 8.6516 12.7639
3.6490 3.8878 7.6230
3.6490 6.4941 7.6937
5.0886 7.3485 12.7993
5.0886 9.9547 12.7286
0.6700 3.8878 7.6937
0.6700 6.4941 7.6230
2.1096 7.3485 12.7286
2.1096 9.9547 12.7993
```